# La3Tb7Nd
Theoretical XRD peak list, Cu Kα (λ = 1.5418 Å). Input: a PBE-relaxed structure.
Intensities are scaled so that the largest is 100.

Cell and atoms:
```
data_La3Tb7Nd
_cell_length_a 11.7692
_cell_length_b 10.1566
_cell_length_c 6.4538
_cell_angle_alpha 90.00
_cell_angle_beta 94.64
_cell_angle_gamma 90.00
_space_group_name_H-M_alt 'C 1 2/m 1'
_space_group_IT_number 12
loop_
_space_group_symop_operation_xyz
'x,y,z'
'-x,-y,-z'
'-x,y,-z'
'x,-y,z'
'x+1/2,y+1/2,z'
'-x+1/2,-y+1/2,-z'
'-x+1/2,y+1/2,-z'
'x+1/2,-y+1/2,z'
loop_
_atom_site_label
_atom_site_fract_x
_atom_site_fract_y
_atom_site_fract_z
La1 0.0000 0.0000 0.0000
La2 0.0000 0.1786 0.5000
Tb1 0.0000 0.5000 0.5000
Tb2 0.2387 0.0000 0.7083
Tb3 0.2423 0.3297 0.7620
Nd1 0.0000 0.5000 0.0000
```

Main lines, sorted by position (15 to 90 degrees two-theta):
2θ/deg	intensity	index
30.49	93	4 0 0
30.60	75	2 0 -2
31.09	100	1 3 1
32.82	61	2 0 2
37.11	64	3 3 -1
50.29	24	5 3 1
50.45	23	1 3 -3
52.79	16	6 0 -2
63.47	45	4 6 0
64.81	18	2 6 2

# La8Tb3Nd
Theoretical XRD peak list, Cu Kα (λ = 1.5418 Å). Input: a PBE-relaxed structure.
Intensities are scaled so that the largest is 100.

Cell and atoms:
```
data_La8Tb3Nd
_cell_length_a 5.8364
_cell_length_b 9.2341
_cell_length_c 9.2376
_cell_angle_alpha 101.39
_cell_angle_beta 108.39
_cell_angle_gamma 108.31
_space_group_name_H-M_alt 'P 1'
_space_group_IT_number 1
loop_
_space_group_symop_operation_xyz
'x,y,z'
loop_
_atom_site_label
_atom_site_fract_x
_atom_site_fract_y
_atom_site_fract_z
La1 0.0000 0.0000 0.0000
La2 0.0005 0.2508 0.7504
La3 0.3377 0.5828 0.0911
La4 0.3388 0.3419 0.3326
La5 0.6646 0.5414 0.7878
La6 0.6655 0.0391 0.2919
La7 0.9930 0.7385 0.2489
La8 0.9959 0.5006 0.4892
Tb1 0.3255 0.0733 0.5770
Tb2 0.3264 0.8274 0.8238
Tb3 0.6758 0.8006 0.5503
Nd1 0.6508 0.2754 0.0252
```

Main lines, sorted by position (15 to 90 degrees two-theta):
2θ/deg	intensity	index
30.56	100	1 1 1
30.64	70	-2 1 1
39.82	8	1 0 -4
43.78	20	2 -2 2
43.87	10	2 0 -4
54.25	13	0 3 3
54.35	19	3 0 0
54.45	16	-3 3 3
60.72	14	1 2 -6
60.78	13	2 -5 3

# La4TbNd4
Theoretical XRD peak list, Cu Kα (λ = 1.5418 Å). Input: a PBE-relaxed structure.
Intensities are scaled so that the largest is 100.

Cell and atoms:
```
data_La4TbNd4
_cell_length_a 11.0533
_cell_length_b 11.0533
_cell_length_c 5.2519
_cell_angle_alpha 90.00
_cell_angle_beta 90.00
_cell_angle_gamma 90.00
_space_group_name_H-M_alt 'I 4/m m m'
_space_group_IT_number 139
_space_group_name_Hall '-I 4 2'
loop_
_atom_site_label
_atom_site_fract_x
_atom_site_fract_y
_atom_site_fract_z
La1 0.1663 0.1663 0.0000
Tb1 0.0000 0.0000 0.5000
Nd1 0.0000 0.3332 0.5000
```

Main lines, sorted by position (15 to 90 degrees two-theta):
2θ/deg	intensity	index
29.62	100	3 0 1
34.14	17	0 0 2
34.42	34	3 3 0
49.27	24	3 3 2
49.48	12	6 0 0
58.36	15	3 0 3
58.73	29	6 3 1
61.49	13	6 0 2
79.96	12	6 3 3
80.28	6	9 0 1

# La4Tb2Nd
Theoretical XRD peak list, Cu Kα (λ = 1.5418 Å). Input: a PBE-relaxed structure.
Intensities are scaled so that the largest is 100.

Cell and atoms:
```
data_La4Tb2Nd
_cell_length_a 6.5720
_cell_length_b 24.7323
_cell_length_c 6.9193
_cell_angle_alpha 90.00
_cell_angle_beta 117.87
_cell_angle_gamma 90.00
_space_group_name_H-M_alt 'C 1 c 1'
_space_group_IT_number 9
loop_
_space_group_symop_operation_xyz
'x,y,z'
'x,-y,z+1/2'
'x+1/2,y+1/2,z'
'x+1/2,-y+1/2,z+1/2'
loop_
_atom_site_label
_atom_site_fract_x
_atom_site_fract_y
_atom_site_fract_z
La1 0.0000 0.0192 0.0000
La2 0.0874 0.3034 0.2166
La3 0.1243 0.2673 0.7514
La4 0.4978 0.0515 0.5402
Tb1 0.0595 0.4072 0.5803
Tb2 0.1077 0.1588 0.1721
Nd1 0.0327 0.1244 0.6242
```

Main lines, sorted by position (15 to 90 degrees two-theta):
2θ/deg	intensity	index
29.20	16	0 0 2
29.62	100	1 7 -1
30.10	29	0 2 2
30.78	35	2 0 0
31.00	34	2 0 -2
31.62	23	1 5 -2
36.23	22	1 7 1
36.39	15	1 7 -2
54.02	19	0 14 1
59.40	18	2 14 -1

# La3Tb4Nd4
Theoretical XRD peak list, Cu Kα (λ = 1.5418 Å). Input: a PBE-relaxed structure.
Intensities are scaled so that the largest is 100.

Cell and atoms:
```
data_La3Tb4Nd4
_cell_length_a 10.9341
_cell_length_b 5.8262
_cell_length_c 12.2152
_cell_angle_alpha 90.00
_cell_angle_beta 90.00
_cell_angle_gamma 90.00
_space_group_name_H-M_alt 'A m m 2'
_space_group_IT_number 38
loop_
_space_group_symop_operation_xyz
'x,y,z'
'-x,-y,z'
'-x,y,z'
'x,-y,z'
'x,y+1/2,z+1/2'
'-x,-y+1/2,z+1/2'
'-x,y+1/2,z+1/2'
'x,-y+1/2,z+1/2'
loop_
_atom_site_label
_atom_site_fract_x
_atom_site_fract_y
_atom_site_fract_z
La1 0.0000 0.0000 0.0000
La2 0.2883 0.0000 0.1593
Tb1 0.0000 0.0000 0.3041
Tb2 0.3060 0.0000 0.8548
Tb3 0.5000 0.0000 0.3590
Nd1 0.0000 0.0000 0.7041
Nd2 0.2152 0.0000 0.4953
Nd3 0.5000 0.0000 0.6314
```

Main lines, sorted by position (15 to 90 degrees two-theta):
2θ/deg	intensity	index
29.83	29	3 1 1
30.39	15	1 0 4
30.69	38	0 2 0
31.40	100	2 1 3
32.76	16	4 0 0
43.74	11	1 2 4
45.50	13	4 2 0
55.01	22	2 3 3
60.98	13	3 1 7
61.06	13	5 2 4

# La6TbNd8
Theoretical XRD peak list, Cu Kα (λ = 1.5418 Å). Input: a PBE-relaxed structure.
Intensities are scaled so that the largest is 100.

Cell and atoms:
```
data_La6TbNd8
_cell_length_a 9.3747
_cell_length_b 9.3747
_cell_length_c 21.3352
_cell_angle_alpha 90.00
_cell_angle_beta 90.00
_cell_angle_gamma 120.00
_space_group_name_H-M_alt 'R -3'
_space_group_IT_number 148
_space_group_name_Hall '-R 3'
loop_
_atom_site_label
_atom_site_fract_x
_atom_site_fract_y
_atom_site_fract_z
La1 0.0516 0.2471 0.2096
Tb1 0.0000 0.0000 0.5000
Nd1 0.0000 0.0000 0.0775
Nd2 0.0800 0.5664 0.3064
```

Main lines, sorted by position (15 to 90 degrees two-theta):
2θ/deg	intensity	index
29.41	30	3 -1 1
30.34	100	2 0 5
31.35	31	1 0 7
31.58	13	1 1 6
33.70	10	2 1 4
35.49	14	0 3 3
51.23	9	0 3 9
52.01	7	3 2 4
53.28	14	5 -1 3
58.03	9	5 -2 7

# La3TbNd2
Theoretical XRD peak list, Cu Kα (λ = 1.5418 Å). Input: a PBE-relaxed structure.
Intensities are scaled so that the largest is 100.

Cell and atoms:
```
data_La3TbNd2
_cell_length_a 6.4244
_cell_length_b 6.4244
_cell_length_c 12.0108
_cell_angle_alpha 90.00
_cell_angle_beta 90.00
_cell_angle_gamma 120.00
_space_group_name_H-M_alt 'P 63/m c m'
_space_group_IT_number 193
_space_group_name_Hall '-P 6c 2'
loop_
_atom_site_label
_atom_site_fract_x
_atom_site_fract_y
_atom_site_fract_z
La1 0.0000 0.3320 0.2500
Tb1 0.0000 0.0000 0.0000
Nd1 0.3333 0.6667 0.0000
```

Main lines, sorted by position (15 to 90 degrees two-theta):
2θ/deg	intensity	index
28.77	38	1 1 1
29.75	34	0 0 4
31.59	100	1 1 2
35.84	21	1 1 3
49.13	25	3 0 0
53.97	22	1 1 6
58.49	30	3 0 4
59.59	16	2 2 2
80.75	14	4 1 2
82.70	11	3 0 8

# La10Tb4Nd
Theoretical XRD peak list, Cu Kα (λ = 1.5418 Å). Input: a PBE-relaxed structure.
Intensities are scaled so that the largest is 100.

Cell and atoms:
```
data_La10Tb4Nd
_cell_length_a 11.6086
_cell_length_b 11.6086
_cell_length_c 7.9876
_cell_angle_alpha 90.00
_cell_angle_beta 90.00
_cell_angle_gamma 90.00
_space_group_name_H-M_alt 'I 4/m m m'
_space_group_IT_number 139
_space_group_name_Hall '-I 4 2'
loop_
_atom_site_label
_atom_site_fract_x
_atom_site_fract_y
_atom_site_fract_z
La1 0.0000 0.2177 0.2085
La2 0.0000 0.5000 0.2500
Tb1 0.2282 0.2282 0.5000
Nd1 0.0000 0.0000 0.5000
```

Main lines, sorted by position (15 to 90 degrees two-theta):
2θ/deg	intensity	index
27.10	47	2 0 2
29.92	43	3 2 1
30.81	100	4 0 0
31.25	96	2 2 2
33.15	29	3 1 2
34.56	22	1 0 3
39.94	32	3 3 2
44.13	30	4 4 0
65.19	28	4 4 4
65.55	24	7 3 2

# LaTbNd6
Theoretical XRD peak list, Cu Kα (λ = 1.5418 Å). Input: a PBE-relaxed structure.
Intensities are scaled so that the largest is 100.

Cell and atoms:
```
data_LaTbNd6
_cell_length_a 5.1951
_cell_length_b 5.1951
_cell_length_c 10.4046
_cell_angle_alpha 90.00
_cell_angle_beta 90.00
_cell_angle_gamma 90.00
_space_group_name_H-M_alt 'P 4/m m m'
_space_group_IT_number 123
_space_group_name_Hall '-P 4 2'
loop_
_atom_site_label
_atom_site_fract_x
_atom_site_fract_y
_atom_site_fract_z
La1 0.0000 0.0000 0.0000
Tb1 0.0000 0.0000 0.5000
Nd1 0.0000 0.5000 0.2534
Nd2 0.5000 0.5000 0.0000
Nd3 0.5000 0.5000 0.5000
```

Main lines, sorted by position (15 to 90 degrees two-theta):
2θ/deg	intensity	index
29.77	100	1 1 2
34.51	51	2 0 0
49.61	36	2 2 0
58.94	43	3 1 2
61.84	12	2 2 4
72.71	2	0 0 8
72.82	4	4 0 0
80.56	18	3 3 2
83.09	11	4 0 4
83.16	5	4 2 0

# La3Tb8Nd
Theoretical XRD peak list, Cu Kα (λ = 1.5418 Å). Input: a PBE-relaxed structure.
Intensities are scaled so that the largest is 100.

Cell and atoms:
```
data_La3Tb8Nd
_cell_length_a 6.4843
_cell_length_b 11.5554
_cell_length_c 11.6054
_cell_angle_alpha 90.00
_cell_angle_beta 90.00
_cell_angle_gamma 90.00
_space_group_name_H-M_alt 'I m m m'
_space_group_IT_number 71
_space_group_name_Hall '-I 2 2'
loop_
_atom_site_label
_atom_site_fract_x
_atom_site_fract_y
_atom_site_fract_z
La1 0.0000 0.0000 0.0000
La2 0.0000 0.2481 0.5000
Tb1 0.0000 0.2504 0.1728
Tb2 0.2487 0.0000 0.2524
Nd1 0.0000 0.5000 0.0000
```

Main lines, sorted by position (15 to 90 degrees two-theta):
2θ/deg	intensity	index
26.84	12	1 0 3
31.02	100	0 4 0
31.63	48	2 2 0
34.61	16	0 2 4
35.31	32	2 2 2
44.82	14	2 4 2
50.91	16	3 2 3
55.12	12	1 6 3
55.30	14	2 0 6
64.74	19	2 4 6

# La2Tb2Nd15
Theoretical XRD peak list, Cu Kα (λ = 1.5418 Å). Input: a PBE-relaxed structure.
Intensities are scaled so that the largest is 100.

Cell and atoms:
```
data_La2Tb2Nd15
_cell_length_a 11.4961
_cell_length_b 11.4961
_cell_length_c 18.1414
_cell_angle_alpha 90.00
_cell_angle_beta 90.00
_cell_angle_gamma 120.00
_space_group_name_H-M_alt 'R -3 m'
_space_group_IT_number 166
_space_group_name_Hall '-R 3 2"'
loop_
_atom_site_label
_atom_site_fract_x
_atom_site_fract_y
_atom_site_fract_z
La1 0.0000 0.0000 0.1768
Tb1 0.0000 0.0000 0.4071
Nd1 0.0000 0.2944 0.5000
Nd2 0.0000 0.5000 0.0000
Nd3 0.0152 0.5076 0.6364
```

Main lines, sorted by position (15 to 90 degrees two-theta):
2θ/deg	intensity	index
26.59	32	0 2 4
26.87	30	3 0 0
29.54	28	0 0 6
30.49	66	2 0 5
30.73	100	0 3 3
31.12	62	2 2 0
33.49	23	1 1 6
34.55	70	2 2 3
54.97	21	4 2 5
55.37	25	6 0 0

# La2Tb5Nd4
Theoretical XRD peak list, Cu Kα (λ = 1.5418 Å). Input: a PBE-relaxed structure.
Intensities are scaled so that the largest is 100.

Cell and atoms:
```
data_La2Tb5Nd4
_cell_length_a 19.8908
_cell_length_b 5.8748
_cell_length_c 6.4978
_cell_angle_alpha 90.00
_cell_angle_beta 93.71
_cell_angle_gamma 90.00
_space_group_name_H-M_alt 'C 1 2/m 1'
_space_group_IT_number 12
loop_
_space_group_symop_operation_xyz
'x,y,z'
'-x,-y,-z'
'-x,y,-z'
'x,-y,z'
'x+1/2,y+1/2,z'
'-x+1/2,-y+1/2,-z'
'-x+1/2,y+1/2,-z'
'x+1/2,-y+1/2,z'
loop_
_atom_site_label
_atom_site_fract_x
_atom_site_fract_y
_atom_site_fract_z
La1 0.0973 0.0000 0.0441
Tb1 0.0000 0.0000 0.5000
Tb2 0.1324 0.5000 0.3760
Tb3 0.2124 0.5000 0.8963
Nd1 0.0308 0.5000 0.7657
Nd2 0.1961 0.0000 0.5759
```

Main lines, sorted by position (15 to 90 degrees two-theta):
2θ/deg	intensity	index
29.51	46	6 0 -1
30.43	58	0 2 0
31.14	100	5 1 1
31.59	88	1 1 -2
42.90	34	6 2 -1
46.93	14	4 0 3
53.09	13	11 1 0
54.52	23	5 3 1
54.81	19	1 3 -2
56.96	20	4 2 3

What is the formula in the ninth record? LaTbNd6